[1]
Starting from a PBE-relaxed structure, the X-ray powder pattern of YMg14Ga was simulated for Cu Kα (λ = 1.5418 Å).
Lines closer than 0.1° are merged.

The 12 most intense peaks (2θ from 5° to 70°), by intensity:
Position (°2θ)  I (rel.)  hkl
37.09  100.0  2 2 2
36.10  56.9  2 0 4
8.52  46.2  1 0 0
34.57  40.7  4 0 0
32.66  29.9  0 2 2
68.31  19.8  4 2 6
17.82  18.9  1 0 2
63.60  18.7  6 2 2
48.30  18.6  4 2 2
56.90  17.9  0 2 6
15.63  13.3  0 0 2
31.55  12.8  0 0 4

```
data_YMg14Ga
_chemical_formula_sum 'Y2 Mg28 Ga2'
_cell_length_a 10.3781
_cell_length_b 6.2637
_cell_length_c 11.3420
_cell_angle_alpha 90.00
_cell_angle_beta 90.00
_cell_angle_gamma 90.00
_space_group_name_H-M_alt 'A m m 2'
_space_group_IT_number 38
_space_group_name_Hall 'A 2 -2'
loop_
_atom_site_label
_atom_site_fract_x
_atom_site_fract_y
_atom_site_fract_z
_atom_site_occupancy
Y1 0.0000 0.0000 0.0000 1
Mg1 0.0000 0.2436 0.2510 1
Mg2 0.2371 0.0000 0.6538 1
Mg3 0.2544 0.2479 0.4074 1
Mg4 0.2592 0.0000 0.1594 1
Mg5 0.5000 0.0000 0.4951 1
Mg6 0.5000 0.0000 0.9926 1
Mg7 0.5000 0.2460 0.7432 1
Ga1 0.0000 0.0000 0.4815 1
```

***

[2]
Starting from a PBE-relaxed structure, the X-ray powder pattern of Y2MgGa2 was simulated for Cu Kα (λ = 1.5418 Å).
Lines closer than 0.1° are merged.

The 12 most intense peaks (2θ from 5° to 70°), by intensity:
Position (°2θ)  I (rel.)  hkl
34.20  100.0  2 1 1
38.20  21.7  3 1 0
31.95  19.8  2 0 1
16.83  19.7  1 1 0
42.56  15.4  0 0 2
58.50  12.0  3 1 2
55.25  9.9  4 1 1
43.82  7.5  3 2 0
50.52  7.2  4 1 0
23.89  7.0  2 0 0
52.09  6.5  3 3 0
67.84  6.0  5 1 1

```
data_Y2MgGa2
_chemical_formula_sum 'Y4 Mg2 Ga4'
_cell_length_a 7.4494
_cell_length_b 7.4494
_cell_length_c 4.2488
_cell_angle_alpha 90.00
_cell_angle_beta 90.00
_cell_angle_gamma 90.00
_space_group_name_H-M_alt 'P 4/m b m'
_space_group_IT_number 127
_space_group_name_Hall '-P 4 2ab'
loop_
_atom_site_label
_atom_site_fract_x
_atom_site_fract_y
_atom_site_fract_z
_atom_site_occupancy
Y1 0.1745 0.3255 0.0000 1
Mg1 0.0000 0.0000 0.5000 1
Ga1 0.1235 0.6235 0.5000 1
```

***

[3]
Starting from a PBE-relaxed structure, the X-ray powder pattern of YMg14Ga was simulated for Cu Kα (λ = 1.5418 Å).
Lines closer than 0.1° are merged.

The 12 most intense peaks (2θ from 5° to 70°), by intensity:
Position (°2θ)  I (rel.)  hkl
36.64  100.0  2 0 2
32.15  26.9  2 0 0
34.61  25.4  0 0 4
15.92  24.6  1 0 0
23.45  18.9  1 0 2
68.72  18.8  2 2 4
63.36  18.2  2 0 6
57.33  17.0  2 2 0
47.96  16.9  2 0 4
69.99  13.7  4 0 2
32.78  8.3  1 1 2
17.11  6.9  0 0 2

```
data_YMg14Ga
_chemical_formula_sum 'Y1 Mg14 Ga1'
_cell_length_a 6.4288
_cell_length_b 6.4288
_cell_length_c 10.3661
_cell_angle_alpha 90.00
_cell_angle_beta 90.00
_cell_angle_gamma 120.00
_space_group_name_H-M_alt 'P -6 m 2'
_space_group_IT_number 187
_space_group_name_Hall 'P -6 2'
loop_
_atom_site_label
_atom_site_fract_x
_atom_site_fract_y
_atom_site_fract_z
_atom_site_occupancy
Y1 0.0000 0.0000 0.0000 1
Mg1 0.0128 0.5064 0.0000 1
Mg2 0.1651 0.3302 0.2589 1
Mg3 0.5024 0.0048 0.5000 1
Mg4 0.6667 0.3333 0.2408 1
Ga1 0.0000 0.0000 0.5000 1
```

***

[4]
Starting from a PBE-relaxed structure, the X-ray powder pattern of Mg6ZnGa was simulated for Cu Kα (λ = 1.5418 Å).
Lines closer than 0.1° are merged.

The 12 most intense peaks (2θ from 5° to 70°), by intensity:
Position (°2θ)  I (rel.)  hkl
38.07  100.0  1 2 2
16.53  28.9  0 1 1
35.90  26.4  2 0 0
33.41  24.4  0 0 4
65.96  18.5  3 2 2
24.33  17.9  1 0 2
59.73  16.6  0 4 0
49.85  15.2  2 0 4
34.04  11.7  1 1 3
39.76  6.7  2 1 1
48.45  5.3  1 2 4
44.70  5.0  0 1 5

```
data_Mg6ZnGa
_chemical_formula_sum 'Mg12 Zn2 Ga2'
_cell_length_a 5.0033
_cell_length_b 6.1897
_cell_length_c 10.7320
_cell_angle_alpha 90.00
_cell_angle_beta 90.00
_cell_angle_gamma 90.00
_space_group_name_H-M_alt 'A m m 2'
_space_group_IT_number 38
_space_group_name_Hall 'A 2 -2'
loop_
_atom_site_label
_atom_site_fract_x
_atom_site_fract_y
_atom_site_fract_z
_atom_site_occupancy
Mg1 0.0000 0.0000 0.0000 1
Mg2 0.0000 0.2438 0.7456 1
Mg3 0.5000 0.0000 0.1692 1
Mg4 0.5000 0.2448 0.4227 1
Zn1 0.5000 0.0000 0.6747 1
Ga1 0.0000 0.0000 0.4982 1
```

***

[5]
Starting from a PBE-relaxed structure, the X-ray powder pattern of Mg6ZnGa was simulated for Cu Kα (λ = 1.5418 Å).
Lines closer than 0.1° are merged.

The 12 most intense peaks (2θ from 5° to 70°), by intensity:
Position (°2θ)  I (rel.)  hkl
37.83  100.0  1 2 2
38.45  47.5  1 0 4
36.41  35.9  2 0 0
33.01  30.4  0 2 2
16.67  25.0  0 0 2
33.70  23.1  0 0 4
17.97  19.8  1 0 0
49.95  18.2  2 2 2
24.61  17.9  1 0 2
66.46  17.7  3 2 2
59.83  15.9  0 2 6
50.45  8.9  2 0 4

```
data_Mg6ZnGa
_chemical_formula_sum 'Mg12 Zn2 Ga2'
_cell_length_a 4.9353
_cell_length_b 6.3110
_cell_length_c 10.6388
_cell_angle_alpha 90.00
_cell_angle_beta 90.00
_cell_angle_gamma 90.00
_space_group_name_H-M_alt 'A m m 2'
_space_group_IT_number 38
_space_group_name_Hall 'A 2 -2'
loop_
_atom_site_label
_atom_site_fract_x
_atom_site_fract_y
_atom_site_fract_z
_atom_site_occupancy
Mg1 0.0000 0.0000 0.0000 1
Mg2 0.0000 0.0000 0.4993 1
Mg3 0.0000 0.2490 0.2442 1
Mg4 0.5000 0.2500 0.4144 1
Zn1 0.5000 0.0000 0.1636 1
Ga1 0.5000 0.0000 0.6636 1
```

***

[6]
Starting from a PBE-relaxed structure, the X-ray powder pattern of Mg6ZrGa was simulated for Cu Kα (λ = 1.5418 Å).
Lines closer than 0.1° are merged.

The 12 most intense peaks (2θ from 5° to 70°), by intensity:
Position (°2θ)  I (rel.)  hkl
37.35  100.0  1 2 2
16.03  82.5  0 1 1
37.50  61.6  1 0 4
36.79  38.3  2 0 0
32.35  34.7  0 2 2
24.33  28.1  1 0 2
33.60  23.8  1 1 3
57.94  22.1  0 2 6
49.79  19.9  2 2 2
47.41  17.1  1 2 4
66.63  17.1  3 2 2
40.36  16.2  2 1 1

```
data_Mg6ZrGa
_chemical_formula_sum 'Mg12 Zr2 Ga2'
_cell_length_a 4.8865
_cell_length_b 6.4015
_cell_length_c 11.0098
_cell_angle_alpha 90.00
_cell_angle_beta 90.00
_cell_angle_gamma 90.00
_space_group_name_H-M_alt 'A m m 2'
_space_group_IT_number 38
_space_group_name_Hall 'A 2 -2'
loop_
_atom_site_label
_atom_site_fract_x
_atom_site_fract_y
_atom_site_fract_z
_atom_site_occupancy
Mg1 0.0000 0.0000 0.0000 1
Mg2 0.0000 0.2473 0.2474 1
Mg3 0.5000 0.0000 0.8336 1
Mg4 0.5000 0.2502 0.0825 1
Zr1 0.0000 0.0000 0.4901 1
Ga1 0.5000 0.0000 0.3452 1
```

***

[7]
Starting from a PBE-relaxed structure, the X-ray powder pattern of Mg6ZrGa was simulated for Cu Kα (λ = 1.5418 Å).
Lines closer than 0.1° are merged.

The 12 most intense peaks (2θ from 5° to 70°), by intensity:
Position (°2θ)  I (rel.)  hkl
38.14  100.0  1 2 2
36.62  65.1  1 0 4
35.82  40.5  2 0 0
15.74  40.5  0 0 2
33.51  37.9  0 2 2
17.69  30.2  1 0 0
23.77  29.1  1 0 2
49.86  23.9  2 2 2
69.85  20.4  2 2 6
65.91  18.8  3 2 2
57.75  18.8  0 2 6
31.80  14.9  0 0 4

```
data_Mg6ZrGa
_chemical_formula_sum 'Mg12 Zr2 Ga2'
_cell_length_a 5.0138
_cell_length_b 6.0773
_cell_length_c 11.2575
_cell_angle_alpha 90.00
_cell_angle_beta 90.00
_cell_angle_gamma 90.00
_space_group_name_H-M_alt 'A m m 2'
_space_group_IT_number 38
_space_group_name_Hall 'A 2 -2'
loop_
_atom_site_label
_atom_site_fract_x
_atom_site_fract_y
_atom_site_fract_z
_atom_site_occupancy
Mg1 0.0000 0.0000 0.0000 1
Mg2 0.0000 0.0000 0.4932 1
Mg3 0.0000 0.2471 0.7499 1
Mg4 0.5000 0.2496 0.0912 1
Zr1 0.5000 0.0000 0.8435 1
Ga1 0.5000 0.0000 0.3362 1
```

***

[8]
Starting from a PBE-relaxed structure, the X-ray powder pattern of Mn3Ga was simulated for Cu Kα (λ = 1.5418 Å).
Lines closer than 0.1° are merged.

The 9 most intense peaks (2θ from 5° to 70°), by intensity:
Position (°2θ)  I (rel.)  hkl
46.05  100.0  1 0 2
40.06  26.1  1 0 0
44.42  24.2  0 0 4
61.34  13.3  1 0 4
41.62  1.6  1 0 1
32.94  1.6  0 0 3
21.79  0.8  0 0 2
52.80  0.7  1 0 3
10.85  0.7  0 0 1

```
data_Mn3Ga
_chemical_formula_sum 'Mn3 Ga1'
_cell_length_a 2.5992
_cell_length_b 2.5992
_cell_length_c 8.1577
_cell_angle_alpha 90.00
_cell_angle_beta 90.00
_cell_angle_gamma 120.00
_space_group_name_H-M_alt 'P -6 m 2'
_space_group_IT_number 187
_space_group_name_Hall 'P -6 2'
loop_
_atom_site_label
_atom_site_fract_x
_atom_site_fract_y
_atom_site_fract_z
_atom_site_occupancy
Mn1 0.0000 0.0000 0.0000 1
Mn2 0.6667 0.3333 0.2392 1
Ga1 0.0000 0.0000 0.5000 1
```

***

[9]
Starting from a PBE-relaxed structure, the X-ray powder pattern of Mn4Ga was simulated for Cu Kα (λ = 1.5418 Å).
Lines closer than 0.1° are merged.

The 11 most intense peaks (2θ from 5° to 70°), by intensity:
Position (°2θ)  I (rel.)  hkl
43.38  100.0  0 1 5
50.80  59.8  1 0 10
44.33  29.7  0 0 15
26.17  2.4  0 0 9
59.30  1.4  0 1 14
35.13  1.2  0 0 12
8.65  1.2  0 0 3
45.85  1.0  1 0 7
42.42  1.0  1 0 4
66.87  0.8  0 1 17
41.11  0.7  0 1 2

```
data_Mn4Ga
_chemical_formula_sum 'Mn12 Ga3'
_cell_length_a 2.5617
_cell_length_b 2.5617
_cell_length_c 30.6502
_cell_angle_alpha 90.00
_cell_angle_beta 90.00
_cell_angle_gamma 120.00
_space_group_name_H-M_alt 'R -3 m'
_space_group_IT_number 166
_space_group_name_Hall '-R 3 2"'
loop_
_atom_site_label
_atom_site_fract_x
_atom_site_fract_y
_atom_site_fract_z
_atom_site_occupancy
Mn1 0.0000 0.0000 0.0962 1
Mn2 0.0000 0.0000 0.2989 1
Ga1 0.0000 0.0000 0.5000 1
```

***

[10]
Starting from a PBE-relaxed structure, the X-ray powder pattern of Mn8Ga5 was simulated for Cu Kα (λ = 1.5418 Å).
Lines closer than 0.1° are merged.

The 12 most intense peaks (2θ from 5° to 70°), by intensity:
Position (°2θ)  I (rel.)  hkl
43.08  100.0  3 3 0
62.56  9.4  6 0 0
24.47  4.5  2 1 1
50.16  4.5  4 2 2
47.89  4.1  3 3 2
34.89  2.9  2 2 2
37.78  2.8  3 2 1
64.47  2.5  6 1 1
52.36  1.6  5 1 0
45.53  0.9  4 2 0
14.06  0.7  1 1 0
60.60  0.6  4 3 3

```
data_Mn8Ga5
_chemical_formula_sum 'Mn32 Ga20'
_cell_length_a 8.9091
_cell_length_b 8.9091
_cell_length_c 8.9091
_cell_angle_alpha 90.00
_cell_angle_beta 90.00
_cell_angle_gamma 90.00
_space_group_name_H-M_alt 'I -4 3 m'
_space_group_IT_number 217
_space_group_name_Hall 'I -4 2 3'
loop_
_atom_site_label
_atom_site_fract_x
_atom_site_fract_y
_atom_site_fract_z
_atom_site_occupancy
Mn1 0.0357 0.3129 0.6871 1
Mn2 0.1043 0.1043 0.8957 1
Ga1 0.0000 0.0000 0.3558 1
Ga2 0.1749 0.1749 0.1749 1
```